Ta2VRh5: simulated XRD peak list (Cu Kα (weighted mean of Kα1 and Kα2)), based on a cell relaxed with PBE.
No peak broadening, texture or thermal motion is included.

The 10 most intense peaks (2θ from 5° to 70°), by angle:
2θ = 22.5°, I = 10.2, hkl 0 0 1; 2θ = 22.9°, I = 9.5, hkl 1 2 0; 2θ = 32.3°, I = 7.8, hkl 1 2 1; 2θ = 39.9°, I = 90.6, hkl 2 0 1; 2θ = 40.0°, I = 100.0, hkl 0 4 1; 2θ = 40.8°, I = 13.6, hkl 2 1 1; 2θ = 45.9°, I = 34.9, hkl 0 0 2; 2θ = 46.8°, I = 55.3, hkl 2 4 0; 2θ = 67.6°, I = 36.1, hkl 2 4 2; 2θ = 68.4°, I = 9.0, hkl 0 8 0

Structure:
abc: 5.506 10.971 3.958
angles: 90.00 90.00 90.00
Atoms (fractional coordinates):
Ta  0.215  0.134  0.000
Ta  0.285  0.634  0.000
Ta  0.715  0.366  0.000
Ta  0.785  0.866  0.000
V  0.000  0.500  0.500
V  0.500  0.000  0.500
Rh  0.000  0.000  0.500
Rh  0.033  0.745  0.500
Rh  0.223  0.384  0.000
Rh  0.277  0.884  0.000
Rh  0.467  0.245  0.500
Rh  0.500  0.500  0.500
Rh  0.533  0.755  0.500
Rh  0.723  0.116  0.000
Rh  0.777  0.616  0.000
Rh  0.967  0.255  0.500